No. 1
The following is a computed powder X-ray diffraction pattern of La4Pm2Nd. It was derived from a DFT-relaxed cell (PBE, Alexandria), using a wavelength of 1.5418 Å.
Kinematic intensities with the Lorentz-polarization factor, no thermal factor.

Atomic structure:
```
data_La4Pm2Nd
_cell_length_a 8.579
_cell_length_b 8.579
_cell_length_c 6.824
_cell_angle_alpha 90.00
_cell_angle_beta 90.00
_cell_angle_gamma 90.00
_symmetry_space_group_name_H-M 'I -4 2 m'
_symmetry_Int_Tables_number 121
_symmetry_space_group_name_Hall 'I -4 2'
loop_
_atom_site_label
_atom_site_type_symbol
_atom_site_fract_x
_atom_site_fract_y
_atom_site_fract_z
_atom_site_occupancy
La1 La 0.201 0.201 0.435 1
Pm1 Pm 0.000 0.500 0.250 1
Nd1 Nd 0.000 0.000 0.000 1
```

Most intense lines, 2θ = 10–80°, in order of rising 2θ:
2θ 26.66, rel. 67
2θ 29.45, rel. 95
2θ 30.05, rel. 100
2θ 33.56, rel. 43
2θ 33.99, rel. 61
2θ 42.13, rel. 21
2θ 42.58, rel. 37
2θ 52.61, rel. 28
2θ 59.60, rel. 24
2θ 61.45, rel. 22

***

No. 2
The following is a computed powder X-ray diffraction pattern of Nb3Sn2. It was derived from a DFT-relaxed cell (PBE, Alexandria), using a wavelength of 1.5418 Å.
Kinematic intensities with the Lorentz-polarization factor, no thermal factor.

Atomic structure:
```
data_Nb3Sn2
_cell_length_a 11.262
_cell_length_b 3.622
_cell_length_c 10.212
_cell_angle_alpha 90.00
_cell_angle_beta 90.00
_cell_angle_gamma 90.00
_symmetry_space_group_name_H-M 'P n m a'
_symmetry_Int_Tables_number 62
loop_
_symmetry_equiv_pos_as_xyz
'x,y,z'
'-x,-y,-z'
'-x+1/2,-y,z+1/2'
'x+1/2,y,-z+1/2'
'x+1/2,-y+1/2,-z+1/2'
'-x+1/2,y+1/2,z+1/2'
'-x,y+1/2,-z'
'x,-y+1/2,z'
loop_
_atom_site_label
_atom_site_type_symbol
_atom_site_fract_x
_atom_site_fract_y
_atom_site_fract_z
_atom_site_occupancy
Nb1 Nb 0.029 0.250 0.103 1
Nb2 Nb 0.114 0.750 0.593 1
Nb3 Nb 0.182 0.250 0.787 1
Sn1 Sn 0.064 0.750 0.319 1
Sn2 Sn 0.210 0.750 0.005 1
```

Most intense lines, 2θ = 10–80°, in order of rising 2θ:
2θ 33.00, rel. 54
2θ 35.54, rel. 99
2θ 36.07, rel. 30
2θ 36.21, rel. 64
2θ 37.11, rel. 88
2θ 38.76, rel. 100
2θ 41.04, rel. 45
2θ 44.45, rel. 71
2θ 50.38, rel. 46
2θ 50.90, rel. 37

***

No. 3
The following is a computed powder X-ray diffraction pattern of La2Re3. It was derived from a DFT-relaxed cell (PBE, Alexandria), using a wavelength of 1.5418 Å.
Kinematic intensities with the Lorentz-polarization factor, no thermal factor.

Atomic structure:
```
data_La2Re3
_cell_length_a 10.195
_cell_length_b 3.192
_cell_length_c 7.916
_cell_angle_alpha 90.00
_cell_angle_beta 126.40
_cell_angle_gamma 90.00
_symmetry_space_group_name_H-M 'C 1 2/m 1'
_symmetry_Int_Tables_number 12
loop_
_symmetry_equiv_pos_as_xyz
'x,y,z'
'-x,-y,-z'
'-x,y,-z'
'x,-y,z'
'x+1/2,y+1/2,z'
'-x+1/2,-y+1/2,-z'
'-x+1/2,y+1/2,-z'
'x+1/2,-y+1/2,z'
loop_
_atom_site_label
_atom_site_type_symbol
_atom_site_fract_x
_atom_site_fract_y
_atom_site_fract_z
_atom_site_occupancy
La1 La 0.085 0.000 0.399 1
Re1 Re 0.000 0.500 0.000 1
Re2 Re 0.249 0.000 0.127 1
```

Most intense lines, 2θ = 10–80°, in order of rising 2θ:
2θ 13.90, rel. 45
2θ 34.13, rel. 58
2θ 35.96, rel. 100
2θ 37.23, rel. 42
2θ 39.71, rel. 98
2θ 57.07, rel. 16
2θ 57.76, rel. 17
2θ 59.68, rel. 14
2θ 67.38, rel. 18
2θ 68.82, rel. 15

***

No. 4
The following is a computed powder X-ray diffraction pattern of Ac2Sm5Tm6. It was derived from a DFT-relaxed cell (PBE, Alexandria), using a wavelength of 1.5418 Å.
Kinematic intensities with the Lorentz-polarization factor, no thermal factor.

Atomic structure:
```
data_Ac2Sm5Tm6
_cell_length_a 11.903
_cell_length_b 20.448
_cell_length_c 3.640
_cell_angle_alpha 90.00
_cell_angle_beta 90.00
_cell_angle_gamma 90.00
_symmetry_space_group_name_H-M 'P b a m'
_symmetry_Int_Tables_number 55
loop_
_symmetry_equiv_pos_as_xyz
'x,y,z'
'-x,-y,-z'
'-x,-y,z'
'x,y,-z'
'x+1/2,-y+1/2,-z'
'-x+1/2,y+1/2,z'
'-x+1/2,y+1/2,-z'
'x+1/2,-y+1/2,z'
loop_
_atom_site_label
_atom_site_type_symbol
_atom_site_fract_x
_atom_site_fract_y
_atom_site_fract_z
_atom_site_occupancy
Ac1 Ac 0.164 0.223 0.000 1
Sm1 Sm 0.000 0.500 0.500 1
Sm2 Sm 0.097 0.785 0.500 1
Sm3 Sm 0.201 0.053 0.500 1
Tm1 Tm 0.061 0.926 0.000 1
Tm2 Tm 0.071 0.639 0.000 1
Tm3 Tm 0.184 0.381 0.500 1
```

Most intense lines, 2θ = 10–80°, in order of rising 2θ:
2θ 30.35, rel. 56
2θ 31.09, rel. 38
2θ 31.41, rel. 23
2θ 31.54, rel. 57
2θ 31.67, rel. 100
2θ 33.77, rel. 36
2θ 34.70, rel. 21
2θ 35.98, rel. 25
2θ 50.13, rel. 23
2θ 60.42, rel. 25

***

No. 5
The following is a computed powder X-ray diffraction pattern of Rb5Dy2F12. It was derived from a DFT-relaxed cell (PBE, Alexandria), using a wavelength of 1.5418 Å.
Kinematic intensities with the Lorentz-polarization factor, no thermal factor.

Atomic structure:
```
data_Rb5Dy2F12
_cell_length_a 13.856
_cell_length_b 8.240
_cell_length_c 6.868
_cell_angle_alpha 90.00
_cell_angle_beta 98.11
_cell_angle_gamma 90.00
_symmetry_space_group_name_H-M 'C 1 2/m 1'
_symmetry_Int_Tables_number 12
loop_
_symmetry_equiv_pos_as_xyz
'x,y,z'
'-x,-y,-z'
'-x,y,-z'
'x,-y,z'
'x+1/2,y+1/2,z'
'-x+1/2,-y+1/2,-z'
'-x+1/2,y+1/2,-z'
'x+1/2,-y+1/2,z'
loop_
_atom_site_label
_atom_site_type_symbol
_atom_site_fract_x
_atom_site_fract_y
_atom_site_fract_z
_atom_site_occupancy
Rb1 Rb 0.000 0.000 0.000 1
Rb2 Rb 0.140 0.500 0.023 1
Rb3 Rb 0.240 0.000 0.469 1
Dy1 Dy 0.000 0.263 0.500 1
F1 F 0.035 0.500 0.341 1
F2 F 0.061 0.000 0.620 1
F3 F 0.098 0.206 0.276 1
F4 F 0.137 0.295 0.710 1
```

Most intense lines, 2θ = 10–80°, in order of rising 2θ:
2θ 12.91, rel. 67
2θ 13.02, rel. 82
2θ 25.25, rel. 100
2θ 26.21, rel. 51
2θ 27.24, rel. 36
2θ 27.60, rel. 86
2θ 29.33, rel. 54
2θ 30.82, rel. 38
2θ 45.70, rel. 40
2θ 45.99, rel. 38

***

No. 6
The following is a computed powder X-ray diffraction pattern of Pr2DyTm4Th. It was derived from a DFT-relaxed cell (PBE, Alexandria), using a wavelength of 1.5418 Å.
Kinematic intensities with the Lorentz-polarization factor, no thermal factor.

Atomic structure:
```
data_Pr2DyTm4Th
_cell_length_a 5.079
_cell_length_b 5.094
_cell_length_c 9.889
_cell_angle_alpha 90.00
_cell_angle_beta 90.00
_cell_angle_gamma 90.00
_symmetry_space_group_name_H-M 'P m m m'
_symmetry_Int_Tables_number 47
loop_
_symmetry_equiv_pos_as_xyz
'x,y,z'
'-x,-y,-z'
'-x,-y,z'
'x,y,-z'
'x,-y,-z'
'-x,y,z'
'-x,y,-z'
'x,-y,z'
loop_
_atom_site_label
_atom_site_type_symbol
_atom_site_fract_x
_atom_site_fract_y
_atom_site_fract_z
_atom_site_occupancy
Pr1 Pr 0.000 0.000 0.000 1
Pr2 Pr 0.500 0.500 0.500 1
Dy1 Dy 0.000 0.000 0.500 1
Tm1 Tm 0.000 0.500 0.247 1
Tm2 Tm 0.500 0.000 0.247 1
Th1 Th 0.500 0.500 0.000 1
```

Most intense lines, 2θ = 10–80°, in order of rising 2θ:
2θ 30.74, rel. 100
2θ 35.24, rel. 17
2θ 35.34, rel. 17
2θ 36.34, rel. 16
2θ 50.77, rel. 12
2θ 51.56, rel. 24
2θ 60.46, rel. 15
2θ 60.60, rel. 15
2θ 61.93, rel. 14
2θ 64.03, rel. 12

***

No. 7
The following is a computed powder X-ray diffraction pattern of LaY2Hg. It was derived from a DFT-relaxed cell (PBE, Alexandria), using a wavelength of 1.5418 Å.
Kinematic intensities with the Lorentz-polarization factor, no thermal factor.

Atomic structure:
```
data_LaY2Hg
_cell_length_a 3.721
_cell_length_b 4.654
_cell_length_c 6.951
_cell_angle_alpha 90.00
_cell_angle_beta 90.00
_cell_angle_gamma 90.00
_symmetry_space_group_name_H-M 'P m m 2'
_symmetry_Int_Tables_number 25
loop_
_symmetry_equiv_pos_as_xyz
'x,y,z'
'-x,-y,z'
'-x,y,z'
'x,-y,z'
loop_
_atom_site_label
_atom_site_type_symbol
_atom_site_fract_x
_atom_site_fract_y
_atom_site_fract_z
_atom_site_occupancy
La1 La 0.000 0.000 0.000 1
Y1 Y 0.000 0.000 0.532 1
Y2 Y 0.500 0.500 0.288 1
Hg1 Hg 0.500 0.500 0.759 1
```

Most intense lines, 2θ = 10–80°, in order of rising 2θ:
2θ 12.74, rel. 24
2θ 30.76, rel. 100
2θ 32.15, rel. 86
2θ 35.34, rel. 67
2θ 38.70, rel. 27
2θ 48.95, rel. 14
2θ 53.40, rel. 41
2θ 59.78, rel. 29
2θ 62.25, rel. 23
2θ 64.08, rel. 12

***

No. 8
The following is a computed powder X-ray diffraction pattern of Y13Ru2. It was derived from a DFT-relaxed cell (PBE, Alexandria), using a wavelength of 1.5418 Å.
Kinematic intensities with the Lorentz-polarization factor, no thermal factor.

Atomic structure:
```
data_Y13Ru2
_cell_length_a 6.392
_cell_length_b 8.190
_cell_length_c 9.774
_cell_angle_alpha 65.30
_cell_angle_beta 89.14
_cell_angle_gamma 82.60
_symmetry_space_group_name_H-M 'P -1'
_symmetry_Int_Tables_number 2
loop_
_symmetry_equiv_pos_as_xyz
'x,y,z'
'-x,-y,-z'
loop_
_atom_site_label
_atom_site_type_symbol
_atom_site_fract_x
_atom_site_fract_y
_atom_site_fract_z
_atom_site_occupancy
Y1 Y 0.000 0.000 0.000 1
Y2 Y 0.058 0.520 0.315 1
Y3 Y 0.173 0.065 0.610 1
Y4 Y 0.222 0.621 0.933 1
Y5 Y 0.312 0.166 0.225 1
Y6 Y 0.409 0.673 0.557 1
Y7 Y 0.446 0.230 0.853 1
Ru1 Ru 0.197 0.835 0.283 1
```

Most intense lines, 2θ = 10–80°, in order of rising 2θ:
2θ 29.60, rel. 76
2θ 29.76, rel. 75
2θ 34.01, rel. 52
2θ 34.60, rel. 100
2θ 49.08, rel. 17
2θ 49.31, rel. 35
2θ 49.50, rel. 17
2θ 49.69, rel. 17
2θ 49.79, rel. 17
2θ 59.07, rel. 18

***

No. 9
The following is a computed powder X-ray diffraction pattern of BeFe2Tc. It was derived from a DFT-relaxed cell (PBE, Alexandria), using a wavelength of 1.5418 Å.
Kinematic intensities with the Lorentz-polarization factor, no thermal factor.

Atomic structure:
```
data_BeFe2Tc
_cell_length_a 2.494
_cell_length_b 3.952
_cell_length_c 4.824
_cell_angle_alpha 90.00
_cell_angle_beta 104.70
_cell_angle_gamma 90.00
_symmetry_space_group_name_H-M 'P 1 2/m 1'
_symmetry_Int_Tables_number 10
loop_
_symmetry_equiv_pos_as_xyz
'x,y,z'
'-x,-y,-z'
'-x,y,-z'
'x,-y,z'
loop_
_atom_site_label
_atom_site_type_symbol
_atom_site_fract_x
_atom_site_fract_y
_atom_site_fract_z
_atom_site_occupancy
Be1 Be 0.000 0.000 0.000 1
Fe1 Fe 0.237 0.500 0.765 1
Tc1 Tc 0.500 0.000 0.500 1
```

Most intense lines, 2θ = 10–80°, in order of rising 2θ:
2θ 19.02, rel. 51
2θ 29.62, rel. 56
2θ 37.28, rel. 10
2θ 44.05, rel. 100
2θ 45.13, rel. 76
2θ 45.92, rel. 37
2θ 46.57, rel. 35
2θ 46.80, rel. 11
2θ 62.27, rel. 13
2θ 67.48, rel. 22

***

No. 10
The following is a computed powder X-ray diffraction pattern of MgNiBRu2. It was derived from a DFT-relaxed cell (PBE, Alexandria), using a wavelength of 1.5418 Å.
Kinematic intensities with the Lorentz-polarization factor, no thermal factor.

Atomic structure:
```
data_MgNiBRu2
_cell_length_a 4.111
_cell_length_b 4.111
_cell_length_c 3.871
_cell_angle_alpha 90.00
_cell_angle_beta 90.00
_cell_angle_gamma 90.00
_symmetry_space_group_name_H-M 'P 4/m m m'
_symmetry_Int_Tables_number 123
_symmetry_space_group_name_Hall '-P 4 2'
loop_
_atom_site_label
_atom_site_type_symbol
_atom_site_fract_x
_atom_site_fract_y
_atom_site_fract_z
_atom_site_occupancy
Mg1 Mg 0.000 0.000 0.000 1
Ni1 Ni 0.500 0.500 0.000 1
B1 B 0.500 0.500 0.500 1
Ru1 Ru 0.000 0.500 0.500 1
```

Most intense lines, 2θ = 10–80°, in order of rising 2θ:
2θ 21.62, rel. 7
2θ 22.98, rel. 18
2θ 30.76, rel. 13
2θ 38.74, rel. 100
2θ 44.05, rel. 38
2θ 46.95, rel. 16
2θ 50.26, rel. 8
2θ 64.06, rel. 12
2θ 66.34, rel. 21
2θ 77.45, rel. 25

***

No. 11
The following is a computed powder X-ray diffraction pattern of NdThCO. It was derived from a DFT-relaxed cell (PBE, Alexandria), using a wavelength of 1.5418 Å.
Kinematic intensities with the Lorentz-polarization factor, no thermal factor.

Atomic structure:
```
data_NdThCO
_cell_length_a 3.703
_cell_length_b 3.703
_cell_length_c 5.193
_cell_angle_alpha 90.00
_cell_angle_beta 90.00
_cell_angle_gamma 90.00
_symmetry_space_group_name_H-M 'P 4/m m m'
_symmetry_Int_Tables_number 123
_symmetry_space_group_name_Hall '-P 4 2'
loop_
_atom_site_label
_atom_site_type_symbol
_atom_site_fract_x
_atom_site_fract_y
_atom_site_fract_z
_atom_site_occupancy
Nd1 Nd 0.000 0.000 0.000 1
Th1 Th 0.500 0.500 0.500 1
C1 C 0.000 0.000 0.500 1
O1 O 0.500 0.500 0.000 1
```

Most intense lines, 2θ = 10–80°, in order of rising 2θ:
2θ 29.63, rel. 100
2θ 34.25, rel. 47
2θ 34.54, rel. 23
2θ 49.22, rel. 17
2θ 49.44, rel. 33
2θ 58.51, rel. 31
2θ 58.89, rel. 15
2θ 61.52, rel. 17
2θ 72.16, rel. 5
2θ 79.89, rel. 7

***

No. 12
The following is a computed powder X-ray diffraction pattern of AgHg2Cl2O. It was derived from a DFT-relaxed cell (PBE, Alexandria), using a wavelength of 1.5418 Å.
Kinematic intensities with the Lorentz-polarization factor, no thermal factor.

Atomic structure:
```
data_AgHg2Cl2O
_cell_length_a 13.924
_cell_length_b 6.638
_cell_length_c 6.824
_cell_angle_alpha 90.00
_cell_angle_beta 90.00
_cell_angle_gamma 90.00
_symmetry_space_group_name_H-M 'C m c m'
_symmetry_Int_Tables_number 63
_symmetry_space_group_name_Hall '-C 2c 2'
loop_
_atom_site_label
_atom_site_type_symbol
_atom_site_fract_x
_atom_site_fract_y
_atom_site_fract_z
_atom_site_occupancy
Ag1 Ag 0.000 0.000 0.000 1
Hg1 Hg 0.151 0.306 0.250 1
Cl1 Cl 0.169 0.236 0.750 1
O1 O 0.000 0.213 0.250 1
```

Most intense lines, 2θ = 10–80°, in order of rising 2θ:
2θ 19.72, rel. 91
2θ 23.39, rel. 46
2θ 26.12, rel. 43
2θ 26.84, rel. 100
2θ 36.89, rel. 49
2θ 37.44, rel. 33
2θ 37.81, rel. 57
2θ 49.71, rel. 35
2θ 53.13, rel. 33
2θ 55.28, rel. 37